Diffraction record for Cs5Tc6S8Br7. The powder diffractogram is computed, not measured: it uses a structure optimized by DFT (GGA-PBE) and Cu Kα.
Neutral-atom scattering factors, no anomalous dispersion.

Largest 10 diffraction maxima, by angle, 5° ≤ 2θ ≤ 70°:
2θ = 9.40°, 9.410 Å, I 39; 2θ = 10.38°, 8.525 Å, I 100; 2θ = 11.71°, 7.554 Å, I 62; 2θ = 19.61°, 4.526 Å, I 75; 2θ = 22.30°, 3.986 Å, I 80; 2θ = 29.36°, 3.043 Å, I 75; 2θ = 29.98°, 2.981 Å, I 64; 2θ = 42.45°, 2.129 Å, I 51; 2θ = 48.88°, 1.863 Å, I 28; 2θ = 49.35°, 1.847 Å, I 39

```
52
Lattice="5.1632 2.9809 18.8192 -5.1632 2.9809 18.8192 0.0000 -5.9619 18.8192" Properties=species:S:1:pos:R:3 pbc="T T T"
Cs -3.4480 -0.0102 23.5239
Cs 0.0000 0.0000 9.4750
Cs -1.7151 -2.9912 32.9335
Cs 0.0000 0.0000 18.7538
Cs 1.7329 -2.9809 23.5240
Cs -1.7329 2.9809 32.9335
Cs 0.0000 0.0000 37.7037
Cs 1.7151 2.9912 23.5239
Cs 0.0000 0.0000 46.9825
Cs 3.4480 0.0102 32.9335
Tc -0.5337 -4.5537 19.8799
Tc -4.2105 -1.8146 36.5776
Tc -3.6768 2.7391 19.8799
Tc -0.5337 -1.4082 27.1680
Tc -1.4864 -0.2419 29.2895
Tc -0.9527 1.1663 27.1680
Tc 0.9527 -1.1663 29.2895
Tc 1.4864 0.2419 27.1680
Tc 0.5337 1.4082 29.2895
Tc 3.6768 -2.7391 36.5776
Tc 4.2105 1.8146 19.8799
Tc 0.5337 4.5537 36.5776
S -0.9807 -3.3746 17.8315
S 0.0000 0.0000 2.9438
S -2.7310 -0.4444 27.2410
S -2.4321 2.5366 17.8315
S -0.9807 -2.5873 29.2164
S -3.4128 -0.8380 38.6260
S 0.0000 0.0000 25.2849
S -1.7504 2.1429 29.2164
S 1.7504 -2.1429 27.2411
S 0.0000 0.0000 31.1725
S 3.4128 0.8380 17.8315
S 0.9807 2.5873 27.2411
S 2.4321 -2.5366 38.6260
S 2.7310 0.4444 29.2164
S 0.0000 0.0000 53.5137
S 0.9807 3.3746 38.6260
Br -1.2853 -2.5072 21.3249
Br -1.2853 -3.4547 25.7230
Br -3.6345 -0.6143 30.7345
Br 0.0000 0.0000 14.1144
Br -2.8139 -0.1405 35.1326
Br -1.5287 2.3667 21.3249
Br -2.3492 2.8404 25.7230
Br 2.3492 -2.8404 30.7344
Br 1.5287 -2.3667 35.1326
Br 2.8139 0.1405 21.3249
Br 0.0000 0.0000 42.3431
Br 3.6345 0.6143 25.7230
Br 1.2853 3.4547 30.7344
Br 1.2853 2.5072 35.1326
```


Diffraction record for NdSmSi. The powder diffractogram is computed, not measured: it uses a structure optimized by DFT (GGA-PBE) and Cu Kα.
Neutral-atom scattering factors, no anomalous dispersion.

Largest 10 diffraction maxima, by angle, 5° ≤ 2θ ≤ 70°:
2θ = 25.38°, 3.510 Å, I 56; 2θ = 29.12°, 3.067 Å, I 20; 2θ = 30.11°, 2.968 Å, I 100; 2θ = 31.39°, 2.850 Å, I 72; 2θ = 36.00°, 2.495 Å, I 63; 2θ = 38.46°, 2.341 Å, I 20; 2θ = 43.02°, 2.102 Å, I 26; 2θ = 51.07°, 1.789 Å, I 41; 2θ = 54.21°, 1.692 Å, I 31; 2θ = 66.41°, 1.408 Å, I 18

```
12
Lattice="4.2048 0.0000 0.0000 0.0000 6.3964 0.0000 0.0000 0.0000 12.5672" Properties=species:S:1:pos:R:3 pbc="T T T"
Nd 0.0000 0.0000 2.4890
Nd 0.0000 0.0000 10.0782
Nd 2.1024 3.1982 3.7946
Nd 2.1024 3.1982 8.7726
Sm 0.0000 1.4613 6.2836
Sm 0.0000 4.9351 6.2836
Sm 2.1024 1.7369 0.0000
Sm 2.1024 4.6595 0.0000
Si 0.0000 3.1982 1.7270
Si 0.0000 3.1982 10.8401
Si 2.1024 0.0000 4.5566
Si 2.1024 0.0000 8.0106
```


Diffraction record for Cs4LiPb4. The powder diffractogram is computed, not measured: it uses a structure optimized by DFT (GGA-PBE) and Cu Kα.
Neutral-atom scattering factors, no anomalous dispersion.

Largest 10 diffraction maxima, by angle, 5° ≤ 2θ ≤ 70°:
2θ = 10.24°, 8.635 Å, I 27; 2θ = 13.66°, 6.484 Å, I 26; 2θ = 25.47°, 3.498 Å, I 50; 2θ = 27.42°, 3.253 Å, I 100; 2θ = 29.01°, 3.078 Å, I 24; 2θ = 32.57°, 2.749 Å, I 29; 2θ = 36.10°, 2.488 Å, I 15; 2θ = 41.81°, 2.161 Å, I 22; 2θ = 46.90°, 1.937 Å, I 15; 2θ = 49.60°, 1.838 Å, I 20

```
9
Lattice="-3.4978 3.4978 8.6354 3.4978 -3.4978 8.6354 3.4978 3.4978 -8.6354" Properties=species:S:1:pos:R:3 pbc="T T T"
Cs 1.9970 -1.9970 5.7549
Cs 1.5007 1.5007 2.8805
Cs -1.9970 1.9970 5.7549
Cs 1.9970 1.9970 11.5159
Li 0.0000 0.0000 0.0000
Pb 2.2221 2.2221 -0.9128
Pb 1.2757 -1.2757 9.5482
Pb 1.2757 1.2757 7.7225
Pb -1.2757 1.2757 9.5482
```


Diffraction record for Mg2Mn2As. The powder diffractogram is computed, not measured: it uses a structure optimized by DFT (GGA-PBE) and Cu Kα.
Neutral-atom scattering factors, no anomalous dispersion.

Largest 10 diffraction maxima, by angle, 5° ≤ 2θ ≤ 70°:
2θ = 10.61°, 8.336 Å, I 15; 2θ = 21.32°, 4.168 Å, I 77; 2θ = 32.53°, 2.753 Å, I 54; 2θ = 39.22°, 2.297 Å, I 49; 2θ = 41.74°, 2.164 Å, I 100; 2θ = 43.42°, 2.084 Å, I 29; 2θ = 45.99°, 1.973 Å, I 12; 2θ = 52.46°, 1.744 Å, I 33; 2θ = 58.23°, 1.584 Å, I 26; 2θ = 62.74°, 1.481 Å, I 14

```
10
Lattice="3.1686 0.0000 0.0000 0.0000 3.1686 0.0000 0.0000 0.0000 16.6724" Properties=species:S:1:pos:R:3 pbc="T T T"
Mg 0.0000 0.0000 1.8465
Mg 0.0000 0.0000 14.8259
Mg 1.5843 1.5843 6.4897
Mg 1.5843 1.5843 10.1827
Mn 0.0000 1.5843 4.1681
Mn 0.0000 1.5843 12.5043
Mn 1.5843 0.0000 4.1681
Mn 1.5843 0.0000 12.5043
As 0.0000 0.0000 8.3362
As 1.5843 1.5843 0.0000
```


Diffraction record for Ho3Tm2In4. The powder diffractogram is computed, not measured: it uses a structure optimized by DFT (GGA-PBE) and Cu Kα.
Neutral-atom scattering factors, no anomalous dispersion.

Largest 10 diffraction maxima, by angle, 5° ≤ 2θ ≤ 70°:
2θ = 29.62°, 3.016 Å, I 21; 2θ = 29.80°, 2.998 Å, I 22; 2θ = 31.70°, 2.823 Å, I 100; 2θ = 33.24°, 2.696 Å, I 58; 2θ = 34.93°, 2.569 Å, I 15; 2θ = 36.82°, 2.441 Å, I 27; 2θ = 42.55°, 2.125 Å, I 23; 2θ = 50.37°, 1.812 Å, I 18; 2θ = 52.93°, 1.730 Å, I 13; 2θ = 57.47°, 1.604 Å, I 15

```
18
Lattice="3.4600 -7.6698 0.0000 3.4600 7.6698 0.0000 0.0000 0.0000 9.7642" Properties=species:S:1:pos:R:3 pbc="T T T"
Ho 0.0000 0.0000 0.0000
Ho 1.7300 3.3607 2.4410
Ho 1.7300 -3.3607 7.3231
Ho 3.4600 0.0000 4.8821
Ho 5.1900 3.3607 2.4410
Ho 5.1900 -3.3607 7.3231
Tm 3.4600 6.0407 4.5173
Tm 3.4600 1.6291 9.3993
Tm 3.4600 -1.6291 0.3648
Tm 3.4600 -6.0407 5.2469
In 3.4600 4.6692 0.2012
In 1.7300 0.1422 2.4410
In 1.7300 -0.1422 7.3231
In 3.4600 3.0006 5.0832
In 3.4600 -3.0006 4.6809
In 5.1900 0.1422 2.4410
In 5.1900 -0.1422 7.3231
In 3.4600 -4.6692 9.5630
```


Diffraction record for PH3PbCO3. The powder diffractogram is computed, not measured: it uses a structure optimized by DFT (GGA-PBE) and Cu Kα.
Neutral-atom scattering factors, no anomalous dispersion.

Largest 10 diffraction maxima, by angle, 5° ≤ 2θ ≤ 70°:
2θ = 8.57°, 10.322 Å, I 100; 2θ = 18.24°, 4.863 Å, I 21; 2θ = 21.96°, 4.047 Å, I 16; 2θ = 22.79°, 3.901 Å, I 24; 2θ = 28.71°, 3.110 Å, I 23; 2θ = 31.25°, 2.862 Å, I 42; 2θ = 38.01°, 2.368 Å, I 10; 2θ = 41.51°, 2.176 Å, I 9; 2θ = 50.42°, 1.810 Å, I 11; 2θ = 55.61°, 1.653 Å, I 10

```
54
Lattice="10.3223 5.9596 2.3350 -10.3223 5.9596 2.3350 0.0000 -11.9192 2.3350" Properties=species:S:1:pos:R:3 pbc="T T T"
P -1.5238 -4.9436 2.3532
P -3.5194 3.7915 2.3532
P -5.0432 -1.1522 4.6518
P 5.0432 1.1521 2.3532
P 3.5194 -3.7915 4.6518
P 1.5238 4.9437 4.6518
H -1.2043 -2.8930 1.1000
H -3.5385 1.7351 1.0962
H 0.2667 -3.9320 1.0962
H -1.9032 2.4895 1.1000
H -0.1451 -2.9677 2.5403
H -2.4976 1.6096 2.5403
H 3.1075 0.4035 1.1000
H 3.2719 2.1969 1.0962
H -2.6427 -1.3582 4.4646
H 2.6427 1.3582 2.5403
H -3.2718 -2.1969 5.9087
H -3.1075 -0.4035 5.9049
H 2.4976 -1.6096 4.4646
H 0.1451 2.9677 4.4646
H 1.9032 -2.4894 5.9049
H -0.2667 3.9320 5.9087
H 3.5385 -1.7350 5.9087
H 1.2043 2.8930 5.9049
Pb -4.9107 -4.7451 3.3486
Pb -6.5647 1.8802 3.6563
Pb 1.6541 -6.6253 3.6563
Pb -1.6541 6.6253 3.3486
Pb 6.5647 -1.8802 3.3486
Pb 4.9107 4.7451 3.6563
C -0.5620 -3.5465 1.7062
C -2.7904 2.2600 1.7062
C 3.3524 1.2865 1.7062
C -3.3524 -1.2865 5.2987
C 2.7904 -2.2600 5.2987
C 0.5621 3.5465 5.2987
O -8.2959 -0.1890 3.5143
O -3.9843 -7.2790 3.4907
O -5.2873 -2.3372 3.6851
O -2.6696 -4.3216 3.2118
O -0.6196 -5.7476 3.3198
O -5.0774 0.1512 3.7931
O -4.6678 3.4103 3.3198
O -2.4078 4.4728 3.2118
O -4.3116 7.0900 3.4907
O 4.3116 -7.0900 3.5143
O 2.4078 -4.4728 3.7931
O 4.6678 -3.4103 3.6851
O 5.0774 -0.1512 3.2118
O 0.6195 5.7476 3.6851
O 2.6696 4.3216 3.7931
O 5.2873 2.3372 3.3198
O 3.9843 7.2790 3.5143
O 8.2959 0.1890 3.4907
```


Diffraction record for ZnSb2Os. The powder diffractogram is computed, not measured: it uses a structure optimized by DFT (GGA-PBE) and Cu Kα.
Neutral-atom scattering factors, no anomalous dispersion.

Largest 10 diffraction maxima, by angle, 5° ≤ 2θ ≤ 70°:
2θ = 11.12°, 7.956 Å, I 69; 2θ = 22.35°, 3.978 Å, I 13; 2θ = 29.79°, 2.999 Å, I 18; 2θ = 35.76°, 2.511 Å, I 100; 2θ = 39.36°, 2.289 Å, I 67; 2θ = 41.02°, 2.200 Å, I 12; 2θ = 44.14°, 2.052 Å, I 58; 2θ = 56.88°, 1.619 Å, I 23; 2θ = 57.96°, 1.591 Å, I 9; 2θ = 69.03°, 1.361 Å, I 29

```
4
Lattice="3.2376 0.0000 0.0000 0.0000 3.2376 0.0000 0.0000 0.0000 7.9562" Properties=species:S:1:pos:R:3 pbc="T T T"
Zn 0.0000 0.0000 0.0000
Sb 0.0000 0.0000 2.9458
Sb 1.6188 1.6188 6.0961
Os 1.6188 1.6188 1.3366
```


Diffraction record for Tl2AgCl8. The powder diffractogram is computed, not measured: it uses a structure optimized by DFT (GGA-PBE) and Cu Kα.
Neutral-atom scattering factors, no anomalous dispersion.

Largest 10 diffraction maxima, by angle, 5° ≤ 2θ ≤ 70°:
2θ = 13.69°, 6.470 Å, I 30; 2θ = 13.85°, 6.393 Å, I 100; 2θ = 18.74°, 4.734 Å, I 15; 2θ = 25.53°, 3.489 Å, I 33; 2θ = 28.61°, 3.121 Å, I 67; 2θ = 31.96°, 2.800 Å, I 24; 2θ = 37.33°, 2.409 Å, I 28; 2θ = 38.98°, 2.311 Å, I 17; 2θ = 47.52°, 1.914 Å, I 17; 2θ = 51.14°, 1.786 Å, I 14

```
22
Lattice="8.7629 -4.1498 0.0000 8.7629 4.1498 0.0000 -8.6497 0.0000 9.4678" Properties=species:S:1:pos:R:3 pbc="T T T"
Tl -4.2662 0.1658 9.4668
Tl 0.0586 -0.1658 4.7329
Tl 8.8175 0.1658 4.7349
Tl 13.1424 -0.1658 0.0010
Ag 2.2757 2.0793 7.1009
Ag 6.6005 -2.0793 2.3670
Cl -2.3584 0.1688 4.3498
Cl 4.0501 2.0739 1.8164
Cl -0.1172 2.0786 6.6493
Cl -6.6833 -0.1688 9.0837
Cl 2.4737 0.1707 5.1221
Cl 4.6686 2.0786 7.5525
Cl 9.1509 2.0739 2.9175
Cl 6.7985 -0.1707 0.3882
Cl 2.0776 0.1707 9.0797
Cl -0.2747 -2.0739 6.5503
Cl 4.2076 -2.0786 1.9154
Cl 6.4025 -0.1707 4.3458
Cl 15.5594 0.1688 0.3841
Cl 8.9934 -2.0786 2.8186
Cl 4.8260 -2.0739 7.6515
Cl 11.2346 -0.1688 5.1180
```


Diffraction record for NaTl2In3. The powder diffractogram is computed, not measured: it uses a structure optimized by DFT (GGA-PBE) and Cu Kα.
Neutral-atom scattering factors, no anomalous dispersion.

Largest 10 diffraction maxima, by angle, 5° ≤ 2θ ≤ 70°:
2θ = 18.80°, 4.721 Å, I 67; 2θ = 21.46°, 4.141 Å, I 38; 2θ = 29.72°, 3.006 Å, I 75; 2θ = 30.50°, 2.931 Å, I 72; 2θ = 31.51°, 2.840 Å, I 58; 2θ = 32.53°, 2.753 Å, I 100; 2θ = 33.35°, 2.687 Å, I 56; 2θ = 34.09°, 2.630 Å, I 65; 2θ = 36.05°, 2.491 Å, I 50; 2θ = 37.94°, 2.372 Å, I 58

```
12
Lattice="3.8948 -4.5871 0.0000 3.8948 4.5871 0.0000 -1.8486 0.0000 9.6286" Properties=species:S:1:pos:R:3 pbc="T T T"
Na 2.5084 3.2751 7.2214
Na 3.4327 -3.2751 2.4071
Tl 2.1983 2.9191 3.7490
Tl 4.6671 2.9191 1.0653
Tl 1.2740 -2.9191 8.5633
Tl 3.7428 -2.9191 5.8796
In 0.4566 0.8278 9.2118
In 1.3809 -0.8278 4.3975
In 3.4327 0.1669 2.4071
In 2.5084 -0.1669 7.2214
In 4.5602 0.8278 5.2311
In 5.4845 -0.8278 0.4168
```


Diffraction record for Ca3Si3Au8. The powder diffractogram is computed, not measured: it uses a structure optimized by DFT (GGA-PBE) and Cu Kα.
Neutral-atom scattering factors, no anomalous dispersion.

Largest 10 diffraction maxima, by angle, 5° ≤ 2θ ≤ 70°:
2θ = 20.07°, 4.424 Å, I 51; 2θ = 27.51°, 3.243 Å, I 23; 2θ = 28.63°, 3.118 Å, I 21; 2θ = 30.81°, 2.903 Å, I 34; 2θ = 33.88°, 2.646 Å, I 100; 2θ = 34.66°, 2.588 Å, I 85; 2θ = 38.24°, 2.353 Å, I 33; 2θ = 39.29°, 2.293 Å, I 86; 2θ = 44.48°, 2.037 Å, I 44; 2θ = 45.65°, 1.987 Å, I 33

```
14
Lattice="8.0654 -2.2931 0.0000 8.0654 2.2931 0.0000 -4.6224 0.0000 7.5500" Properties=species:S:1:pos:R:3 pbc="T T T"
Ca 0.0000 0.0000 0.0000
Ca 3.3927 0.0000 2.0227
Ca 8.1158 0.0000 5.5272
Si -2.3112 0.0000 3.7750
Si 2.2714 0.0000 5.1295
Si 9.2371 0.0000 2.4205
Au -1.7970 0.0000 6.2507
Au 0.3849 0.0000 3.2859
Au 1.2080 0.0000 7.2963
Au 4.8269 0.0000 4.9642
Au 6.6816 0.0000 2.5857
Au 10.3004 0.0000 0.2537
Au 11.1236 0.0000 4.2640
Au 13.3055 0.0000 1.2992
```


Diffraction record for Ag3HgBr6. The powder diffractogram is computed, not measured: it uses a structure optimized by DFT (GGA-PBE) and Cu Kα.
Neutral-atom scattering factors, no anomalous dispersion.

Largest 10 diffraction maxima, by angle, 5° ≤ 2θ ≤ 70°:
2θ = 22.85°, 3.891 Å, I 64; 2θ = 23.15°, 3.842 Å, I 100; 2θ = 23.49°, 3.787 Å, I 84; 2θ = 26.08°, 3.417 Å, I 98; 2θ = 26.27°, 3.393 Å, I 70; 2θ = 26.93°, 3.311 Å, I 54; 2θ = 34.67°, 2.587 Å, I 50; 2θ = 41.26°, 2.188 Å, I 48; 2θ = 43.84°, 2.065 Å, I 47; 2θ = 44.01°, 2.057 Å, I 78

```
20
Lattice="7.7845 0.0000 0.0000 0.0000 6.9277 0.0000 -7.5418 0.0000 11.2883" Properties=species:S:1:pos:R:3 pbc="T T T"
Ag 0.0000 0.0000 0.0000
Ag -3.7709 3.4638 5.6441
Ag -4.2666 0.2077 8.3698
Ag -0.4957 3.2561 2.7256
Ag 0.7384 3.6715 8.5626
Ag 4.5093 6.7200 2.9185
Hg 0.1214 0.0000 5.6441
Hg 3.8923 3.4638 0.0000
Br -4.4981 4.4244 8.1629
Br -0.7272 5.9671 2.5188
Br -2.6382 1.3651 6.6444
Br 1.1327 2.0987 1.0003
Br -0.9006 4.7851 6.4328
Br 2.8703 5.6064 0.7886
Br -2.6276 1.3213 10.4997
Br 1.1433 2.1426 4.8555
Br -0.8899 4.8289 10.2880
Br 2.8810 5.5626 4.6439
Br 0.9699 0.9606 8.7695
Br 4.7408 2.5032 3.1254
```